1.
For FeSb3, the PBE geometry in the Materials Project gives the theoretical powder diffraction line list in this record (Cu Kα X-rays).
Kinematic intensities with the Lorentz-polarization factor, no thermal factor.

a b c (Å): 9.1783 9.1783 9.1783
angles (deg): 90.00 90.00 90.00
Space group Im-3 (No. 204)
Asymmetric unit:
Fe 0.2500 0.2500 0.2500 x8
Sb 0.0000 0.1597 0.3309 x24

Most intense lines, 10° ≤ 2θ ≤ 90°, sorted by position:
30.81°, rel. 100; 36.63°, rel. 42; 44.13°, rel. 24; 46.40°, rel. 10; 48.60°, rel. 17; 50.72°, rel. 19; 58.65°, rel. 25; 60.52°, rel. 10; 69.45°, rel. 18; 89.29°, rel. 10

---

2.
For Mg2Cd, the PBE geometry in the Materials Project gives the theoretical powder diffraction line list in this record (Cu Kα X-rays).
Kinematic intensities with the Lorentz-polarization factor, no thermal factor.

a b c (Å): 11.4846 3.2314 7.3582
angles (deg): 90.00 102.79 90.00
Space group Cm (No. 8)
Asymmetric unit:
Mg 0.0000 0.0000 0.0000 x2
Mg 0.0557 0.0000 0.6095 x2
Mg 0.1699 0.5000 0.3318 x2
Mg 0.3326 0.0000 0.6674 x2
Cd 0.2209 0.5000 0.9415 x2
Cd 0.3922 0.0000 0.2811 x2

Most intense lines, 10° ≤ 2θ ≤ 90°, sorted by position:
12.33°, rel. 50; 17.80°, rel. 99; 32.11°, rel. 77; 32.48°, rel. 37; 36.06°, rel. 60; 36.79°, rel. 93; 36.96°, rel. 46; 37.11°, rel. 100; 37.60°, rel. 44; 69.33°, rel. 35

---

3.
For La4Pt, the PBE geometry in the Materials Project gives the theoretical powder diffraction line list in this record (Cu Kα X-rays).
Kinematic intensities with the Lorentz-polarization factor, no thermal factor.

a b c (Å): 11.5252 11.5252 11.5252
angles (deg): 90.00 90.00 90.00
Space group Fd-3m (No. 227, origin choice 2)
Asymmetric unit:
La 0.0136 0.0136 0.2364 x32
Pt 0.1250 0.1250 0.6250 x8

Most intense lines, 10° ≤ 2θ ≤ 90°, sorted by position:
21.81°, rel. 38; 25.64°, rel. 15; 26.80°, rel. 100; 31.04°, rel. 20; 33.90°, rel. 36; 40.68°, rel. 31; 44.47°, rel. 64; 52.68°, rel. 36; 81.90°, rel. 15; 87.56°, rel. 15

---

4.
For K2NdAgF6, the PBE geometry in the Materials Project gives the theoretical powder diffraction line list in this record (Cu Kα X-rays).
Kinematic intensities with the Lorentz-polarization factor, no thermal factor.

a b c (Å): 9.4141 9.4141 9.4141
angles (deg): 90.00 90.00 90.00
Space group Fm-3m (No. 225)
Asymmetric unit:
K 0.2500 0.2500 0.2500 x8
Nd 0.0000 0.0000 0.0000 x4
Ag 0.0000 0.0000 0.5000 x4
F 0.0000 0.0000 0.2408 x24

Most intense lines, 10° ≤ 2θ ≤ 90°, sorted by position:
18.85°, rel. 60; 26.78°, rel. 100; 38.24°, rel. 44; 42.97°, rel. 29; 47.30°, rel. 41; 55.19°, rel. 27; 58.86°, rel. 14; 62.38°, rel. 18; 75.59°, rel. 20; 88.03°, rel. 11

---

5.
For ThCl2, the PBE geometry in the Materials Project gives the theoretical powder diffraction line list in this record (Cu Kα X-rays).
Kinematic intensities with the Lorentz-polarization factor, no thermal factor.

a b c (Å): 8.2254 8.2254 9.3346
angles (deg): 90.00 90.00 90.00
Space group I4_1/amd (No. 141, origin choice 2)
Asymmetric unit:
Th 0.0000 0.0000 0.0000 x8
Cl 0.0000 0.0174 0.6897 x16

Most intense lines, 10° ≤ 2θ ≤ 90°, sorted by position:
14.35°, rel. 93; 26.04°, rel. 41; 28.94°, rel. 52; 30.74°, rel. 100; 37.87°, rel. 35; 44.03°, rel. 35; 50.12°, rel. 24; 53.55°, rel. 22; 64.01°, rel. 33; 80.94°, rel. 19

---

6.
For YAlO3, the PBE geometry in the Materials Project gives the theoretical powder diffraction line list in this record (Cu Kα X-rays).
Kinematic intensities with the Lorentz-polarization factor, no thermal factor.

a b c (Å): 5.3136 5.3136 12.7683
angles (deg): 90.00 90.00 120.00
Space group R-3c (No. 167, hexagonal axes)
Asymmetric unit:
Y 0.0000 0.0000 0.2500 x6
Al 0.0000 0.0000 0.0000 x6
O 0.0000 0.4253 0.2500 x18

Most intense lines, 10° ≤ 2θ ≤ 90°, sorted by position:
23.84°, rel. 57; 33.74°, rel. 90; 34.19°, rel. 100; 41.73°, rel. 50; 42.48°, rel. 20; 48.79°, rel. 73; 60.34°, rel. 27; 60.63°, rel. 41; 61.49°, rel. 18; 72.01°, rel. 21

---

7.
For Li2Ce2Si3, the PBE geometry in the Materials Project gives the theoretical powder diffraction line list in this record (Cu Kα X-rays).
Kinematic intensities with the Lorentz-polarization factor, no thermal factor.

a b c (Å): 4.4036 18.3308 6.7392
angles (deg): 90.00 90.00 90.00
Space group Cmcm (No. 63)
Asymmetric unit:
Li 0.0000 0.1893 0.0604 x8
Ce 0.0000 0.3440 0.2500 x4
Ce 0.0000 0.4494 0.7500 x4
Si 0.0000 0.0589 0.5735 x8
Si 0.0000 0.2801 0.7500 x4

Most intense lines, 10° ≤ 2θ ≤ 90°, sorted by position:
20.74°, rel. 43; 23.48°, rel. 43; 26.45°, rel. 35; 32.17°, rel. 22; 33.85°, rel. 65; 34.50°, rel. 100; 40.99°, rel. 21; 44.94°, rel. 18; 52.07°, rel. 17; 56.81°, rel. 15

---

8.
For KTeO7, the PBE geometry in the Materials Project gives the theoretical powder diffraction line list in this record (Cu Kα X-rays).
Kinematic intensities with the Lorentz-polarization factor, no thermal factor.

a b c (Å): 9.0991 5.9961 14.1308
angles (deg): 90.00 100.67 90.00
Space group P2_1/c (No. 14)
Asymmetric unit:
K 0.0338 0.1950 0.3759 x4
Te 0.2570 0.1601 0.1574 x4
O 0.0700 0.2193 0.6133 x4
O 0.2157 0.5580 0.7408 x4
O 0.2338 0.5296 0.5334 x4
O 0.2843 0.5857 0.0262 x4
O 0.3290 0.0598 0.8367 x4
O 0.3502 0.7300 0.5412 x4
O 0.3934 0.6222 0.3468 x4

Most intense lines, 10° ≤ 2θ ≤ 90°, sorted by position:
14.63°, rel. 100; 17.56°, rel. 69; 17.81°, rel. 78; 19.55°, rel. 87; 19.86°, rel. 77; 23.03°, rel. 44; 26.23°, rel. 74; 29.72°, rel. 50; 29.81°, rel. 56; 33.14°, rel. 39

---

9.
For KRuO3, the PBE geometry in the Materials Project gives the theoretical powder diffraction line list in this record (Cu Kα X-rays).
Kinematic intensities with the Lorentz-polarization factor, no thermal factor.

a b c (Å): 3.9393 3.9393 3.9393
angles (deg): 90.00 90.00 90.00
Space group Pm-3m (No. 221)
Asymmetric unit:
K 0.0000 0.0000 0.0000 x1
Ru 0.5000 0.5000 0.5000 x1
O 0.0000 0.5000 0.5000 x3

Most intense lines, 10° ≤ 2θ ≤ 90°, sorted by position:
22.57°, rel. 48; 32.13°, rel. 100; 46.08°, rel. 39; 51.90°, rel. 20; 57.29°, rel. 37; 67.22°, rel. 22; 71.90°, rel. 9; 76.47°, rel. 16; 85.36°, rel. 7; 89.76°, rel. 4

---

10.
For CdGeAs2, the PBE geometry in the Materials Project gives the theoretical powder diffraction line list in this record (Cu Kα X-rays).
Kinematic intensities with the Lorentz-polarization factor, no thermal factor.

a b c (Å): 6.0680 6.0680 11.4725
angles (deg): 90.00 90.00 90.00
Space group I-42d (No. 122)
Asymmetric unit:
Cd 0.0000 0.0000 0.0000 x4
Ge 0.0000 0.0000 0.5000 x4
As 0.2225 0.2500 0.6250 x8

Most intense lines, 10° ≤ 2θ ≤ 90°, sorted by position:
25.93°, rel. 100; 42.12°, rel. 26; 43.42°, rel. 48; 50.13°, rel. 31; 52.39°, rel. 14; 61.09°, rel. 8; 69.39°, rel. 11; 77.88°, rel. 15; 80.57°, rel. 7; 82.84°, rel. 6

---

- Number 4 is which compound?
  K2NdAgF6